(1)
The following is a computed powder X-ray diffraction pattern of Li4V3CrO8. It was derived from DFT lattice parameters and positions (PBE+U), using Cu Ka.

Structure:
Lattice parameters (Å, degrees): 5.188 6.001 10.359 89.85 80.24 73.09
Positions (direct):
1 Li 0.000 0.000 0.000
2 Li 0.000 0.000 0.500
3 Li 0.000 0.500 0.000
4 Li 0.000 0.500 0.500
5 Li 0.001 0.248 0.251
6 Li 0.002 0.247 0.750
7 Li 0.998 0.753 0.250
8 Li 0.999 0.752 0.749
9 V 0.500 0.125 0.875
10 V 0.500 0.375 0.126
11 V 0.500 0.376 0.625
12 V 0.500 0.624 0.375
13 V 0.500 0.625 0.874
14 V 0.500 0.875 0.125
15 Cr 0.499 0.124 0.376
16 Cr 0.501 0.876 0.624
17 O 0.269 0.683 0.060
18 O 0.271 0.183 0.061
19 O 0.272 0.429 0.313
20 O 0.272 0.433 0.811
21 O 0.273 0.933 0.311
22 O 0.274 0.685 0.560
23 O 0.275 0.180 0.561
24 O 0.275 0.932 0.809
25 O 0.725 0.068 0.191
26 O 0.725 0.820 0.439
27 O 0.726 0.315 0.440
28 O 0.727 0.067 0.689
29 O 0.728 0.567 0.189
30 O 0.728 0.571 0.687
31 O 0.729 0.817 0.939
32 O 0.731 0.317 0.940

Principal peaks in the range 2θ from 10° to 80°, by angle:
| d_spacing | I_rel |
| --- | --- |
| 4.886 | 100.0 |
| 2.557 | 27.0 |
| 2.122 | 29.3 |
| 2.115 | 58.0 |
| 1.499 | 16.1 |
| 1.497 | 22.9 |



(2)
The following is a computed powder X-ray diffraction pattern of Li3VCr3O8. It was derived from DFT lattice parameters and positions (PBE+U), using Cu Ka.

Structure:
Lattice parameters (Å, degrees): 5.864 5.932 5.948 119.55 90.19 119.48
Positions (direct):
1 Li 0.000 0.000 0.000
2 Li 0.000 0.500 0.000
3 Li 0.500 0.000 0.000
4 V 0.500 0.500 0.500
5 Cr 0.000 0.000 0.500
6 Cr 0.000 0.500 0.500
7 Cr 0.500 0.000 0.500
8 O 0.187 0.952 0.284
9 O 0.194 0.461 0.286
10 O 0.289 0.526 0.725
11 O 0.304 0.051 0.715
12 O 0.696 0.949 0.285
13 O 0.711 0.474 0.275
14 O 0.806 0.539 0.714
15 O 0.813 0.048 0.716

Principal peaks in the range 2θ from 10° to 80°, by angle:
| d_spacing | I_rel |
| --- | --- |
| 4.894 | 100.0 |
| 2.548 | 28.2 |
| 2.124 | 22.5 |
| 2.091 | 15.4 |
| 2.084 | 22.6 |
| 1.494 | 12.3 |



(3)
The following is a computed powder X-ray diffraction pattern of Li2VCr3O8. It was derived from DFT lattice parameters and positions (PBE+U), using Cu Ka.

Structure:
Lattice parameters (Å, degrees): 5.905 5.905 5.889 119.28 119.28 61.00
Positions (direct):
1 Li 0.129 0.129 0.370
2 Li 0.871 0.871 0.630
3 V 0.500 0.500 0.000
4 Cr 0.000 0.500 0.000
5 Cr 0.500 0.000 0.000
6 Cr 0.500 0.500 0.500
7 O 0.263 0.263 0.235
8 O 0.271 0.271 0.789
9 O 0.273 0.712 0.229
10 O 0.288 0.727 0.771
11 O 0.712 0.273 0.229
12 O 0.727 0.288 0.771
13 O 0.729 0.729 0.211
14 O 0.737 0.737 0.765

Principal peaks in the range 2θ from 10° to 80°, by angle:
| d_spacing | I_rel |
| --- | --- |
| 4.866 | 100.0 |
| 4.787 | 26.8 |
| 2.539 | 14.6 |
| 2.530 | 17.6 |
| 2.100 | 47.5 |
| 2.095 | 23.6 |



(4)
The following is a computed powder X-ray diffraction pattern of Li4V3CrO8. It was derived from DFT lattice parameters and positions (PBE+U), using Cu Ka.

Structure:
Lattice parameters (Å, degrees): 5.188 5.996 10.756 98.09 103.72 106.97
Positions (direct):
1 Li 0.000 0.000 0.000
2 Li 0.000 0.500 0.000
3 Li 0.248 0.372 0.248
4 Li 0.253 0.877 0.250
5 Li 0.499 0.750 0.500
6 Li 0.501 0.250 0.500
7 Li 0.747 0.123 0.750
8 Li 0.752 0.628 0.752
9 V 0.124 0.438 0.625
10 V 0.125 0.937 0.625
11 V 0.374 0.313 0.875
12 V 0.626 0.687 0.125
13 V 0.875 0.063 0.375
14 V 0.876 0.562 0.375
15 Cr 0.374 0.813 0.876
16 Cr 0.626 0.187 0.124
17 O 0.083 0.477 0.812
18 O 0.085 0.973 0.811
19 O 0.168 0.402 0.439
20 O 0.171 0.902 0.439
21 O 0.335 0.851 0.061
22 O 0.336 0.346 0.061
23 O 0.417 0.278 0.689
24 O 0.417 0.777 0.691
25 O 0.583 0.223 0.309
26 O 0.583 0.722 0.311
27 O 0.664 0.654 0.939
28 O 0.665 0.149 0.939
29 O 0.829 0.098 0.561
30 O 0.832 0.598 0.561
31 O 0.915 0.027 0.189
32 O 0.917 0.523 0.188

Principal peaks in the range 2θ from 10° to 80°, by angle:
| d_spacing | I_rel |
| --- | --- |
| 4.883 | 100.0 |
| 2.548 | 27.1 |
| 2.122 | 29.5 |
| 2.114 | 29.1 |
| 2.109 | 28.9 |
| 1.496 | 23.4 |



(5)
The following is a computed powder X-ray diffraction pattern of LiVCrO4. It was derived from DFT lattice parameters and positions (PBE+U), using Cu Ka.

Structure:
Lattice parameters (Å, degrees): 5.929 5.929 5.971 120.20 120.20 60.94
Positions (direct):
1 Li 0.126 0.126 0.376
2 Li 0.874 0.874 0.624
3 V 0.500 0.500 0.000
4 V 0.500 0.500 0.500
5 Cr 0.000 0.500 0.000
6 Cr 0.500 0.000 0.000
7 O 0.269 0.269 0.247
8 O 0.270 0.270 0.792
9 O 0.270 0.715 0.243
10 O 0.285 0.730 0.757
11 O 0.715 0.270 0.243
12 O 0.730 0.285 0.757
13 O 0.730 0.730 0.208
14 O 0.731 0.731 0.753

Principal peaks in the range 2θ from 10° to 80°, by angle:
| d_spacing | I_rel |
| --- | --- |
| 4.858 | 100.0 |
| 2.555 | 16.5 |
| 2.545 | 14.9 |
| 2.118 | 39.3 |
| 2.075 | 18.0 |
| 1.482 | 22.1 |



(6)
The following is a computed powder X-ray diffraction pattern of Li4V3Cr3W2O16. It was derived from DFT lattice parameters and positions (PBE+U), using Cu Ka.

Structure:
Lattice parameters (Å, degrees): 5.988 5.988 9.716 90.08 90.08 59.95
Positions (direct):
1 Li 0.000 0.000 0.000
2 Li 0.001 0.001 0.499
3 Li 0.336 0.336 0.589
4 Li 0.669 0.669 0.092
5 V 0.171 0.171 0.279
6 V 0.341 0.835 0.779
7 V 0.835 0.341 0.779
8 Cr 0.174 0.663 0.278
9 Cr 0.663 0.174 0.278
10 Cr 0.832 0.832 0.777
11 W 0.335 0.335 0.006
12 W 0.669 0.669 0.505
13 O 0.002 0.002 0.186
14 O 0.002 0.002 0.684
15 O 0.043 0.484 0.147
16 O 0.168 0.168 0.899
17 O 0.170 0.663 0.897
18 O 0.335 0.335 0.384
19 O 0.335 0.832 0.397
20 O 0.483 0.483 0.151
21 O 0.484 0.043 0.147
22 O 0.524 0.524 0.643
23 O 0.524 0.965 0.649
24 O 0.663 0.170 0.897
25 O 0.668 0.668 0.885
26 O 0.831 0.831 0.397
27 O 0.832 0.335 0.397
28 O 0.965 0.524 0.649

Principal peaks in the range 2θ from 10° to 80°, by angle:
| d_spacing | I_rel |
| --- | --- |
| 4.574 | 100.0 |
| 3.545 | 27.8 |
| 2.747 | 33.9 |
| 2.548 | 45.5 |
| 2.504 | 21.8 |
| 2.024 | 18.6 |